Simulated X-ray powder pattern of Y3Al28Cr8 for Cu Kα (λ = 1.5418 Å), from the GGA-PBE geometry in Alexandria.

Crystal structure
Unit cell a=6.873 b=6.873 c=19.255 alpha=92.65 beta=92.65 gamma=136.31
Sites, in units of the cell vectors:
Y (0.000, 0.000, 0.000)
Y (0.334, 0.334, 0.668)
Y (0.666, 0.666, 0.332)
Al (0.000, 0.000, 0.500)
Al (0.027, 0.255, 0.259)
Al (0.090, 0.310, 0.399)
Al (0.097, 0.469, 0.557)
Al (0.110, 0.760, 0.890)
Al (0.166, 0.166, 0.835)
Al (0.225, 0.573, 0.779)
Al (0.240, 0.890, 0.110)
Al (0.255, 0.027, 0.259)
Al (0.310, 0.090, 0.399)
Al (0.362, 0.588, 0.929)
Al (0.412, 0.638, 0.071)
Al (0.427, 0.775, 0.221)
Al (0.469, 0.097, 0.557)
Al (0.500, 0.500, 0.500)
Al (0.531, 0.903, 0.443)
Al (0.573, 0.225, 0.779)
Al (0.588, 0.362, 0.929)
Al (0.638, 0.412, 0.071)
Al (0.690, 0.910, 0.601)
Al (0.745, 0.973, 0.741)
Al (0.760, 0.110, 0.890)
Al (0.775, 0.427, 0.221)
Al (0.834, 0.834, 0.165)
Al (0.890, 0.240, 0.110)
Al (0.903, 0.531, 0.443)
Al (0.910, 0.690, 0.601)
Al (0.973, 0.745, 0.741)
Cr (0.000, 0.500, 0.000)
Cr (0.159, 0.667, 0.332)
Cr (0.333, 0.841, 0.668)
Cr (0.334, 0.334, 0.166)
Cr (0.500, 0.000, 0.000)
Cr (0.666, 0.666, 0.834)
Cr (0.667, 0.159, 0.332)
Cr (0.841, 0.333, 0.668)

Most intense lines, 15° ≤ 2θ ≤ 90°, in order of rising 2θ:
2θ/deg, I_rel
27.99, 23
34.53, 27
40.03, 100
40.15, 25
40.45, 45
40.67, 42


Simulated X-ray powder pattern of Al3ZnCr8 for Cu Kα (λ = 1.5418 Å), from the GGA-PBE geometry in Alexandria.

Crystal structure
Unit cell a=2.985 b=2.985 c=17.282 alpha=90.00 beta=90.00 gamma=90.00
Sites, in units of the cell vectors:
Al (0.000, 0.000, 0.000)
Al (0.500, 0.500, 0.249)
Al (0.500, 0.500, 0.751)
Zn (0.000, 0.000, 0.500)
Cr (0.000, 0.000, 0.159)
Cr (0.000, 0.000, 0.341)
Cr (0.000, 0.000, 0.659)
Cr (0.000, 0.000, 0.841)
Cr (0.500, 0.500, 0.091)
Cr (0.500, 0.500, 0.407)
Cr (0.500, 0.500, 0.593)
Cr (0.500, 0.500, 0.909)

Most intense lines, 15° ≤ 2θ ≤ 90°, in order of rising 2θ:
2θ/deg, I_rel
20.56, 11
42.85, 57
43.67, 100
62.20, 17
79.07, 30
80.79, 11